Entry 1:
The following is a calculated X-ray powder pattern of NaMgFeS3O12. It was derived from DFT lattice parameters and positions (GGA+U), using Cu Kα.
Kinematic intensities with the Lorentz-polarization factor, no thermal factor.

Structural model:
Cell lengths 8.6283, 8.6283, 8.9371 Å; angles 118.85, 118.85, 59.81 degrees
Fractional positions:
Na1 0.2503 0.7497 0.5000
Na2 0.7497 0.2503 0.0000
Mg1 0.3950 0.9000 0.9395
Mg2 0.9000 0.3950 0.4395
Fe1 0.1015 0.5968 0.0498
Fe2 0.5968 0.1015 0.5498
S1 0.2016 0.2954 0.2442
S2 0.2954 0.2016 0.7442
S3 0.4968 0.7067 0.2451
S4 0.7067 0.4968 0.7451
S5 0.7903 0.9984 0.2445
S6 0.9984 0.7903 0.7445
O1 0.0243 0.3202 0.2539
O2 0.0327 0.7534 0.9076
O3 0.1411 0.2381 0.5825
O4 0.1631 0.8181 0.7641
O5 0.1846 0.4758 0.2409
O6 0.2381 0.1411 0.0825
O7 0.2624 0.3599 0.9121
O8 0.3202 0.0243 0.7539
O9 0.3286 0.6847 0.2329
O10 0.3599 0.2624 0.4121
O11 0.4600 0.7455 0.0869
O12 0.4758 0.1846 0.7409
O13 0.5295 0.8680 0.4137
O14 0.5315 0.6612 0.7593
O15 0.6344 0.9626 0.0810
O16 0.6612 0.5315 0.2593
O17 0.6847 0.3286 0.7329
O18 0.7455 0.4600 0.5869
O19 0.7534 0.0327 0.4076
O20 0.8181 0.1631 0.2641
O21 0.8306 0.9701 0.7386
O22 0.8680 0.5295 0.9137
O23 0.9626 0.6344 0.5810
O24 0.9701 0.8306 0.2386

Most intense lines, 2θ = 10–90°, sorted by position:
2θ = 14.3°, intensity 18
2θ = 19.9°, intensity 11
2θ = 20.6°, intensity 13
2θ = 23.9°, intensity 100
2θ = 28.8°, intensity 13
2θ = 31.8°, intensity 38
2θ = 32.0°, intensity 12
2θ = 36.1°, intensity 10
2θ = 48.8°, intensity 10
2θ = 56.5°, intensity 7

=====

Entry 2:
The following is a calculated X-ray powder pattern of NaMgFeS3O12. It was derived from DFT lattice parameters and positions (GGA+U), using Cu Kα.
Kinematic intensities with the Lorentz-polarization factor, no thermal factor.

Structural model:
Cell lengths 8.9589, 8.9589, 8.9589 Å; angles 57.51, 57.51, 57.51 degrees
Fractional positions:
Na1 0.0000 0.0000 0.0000
Na2 0.5000 0.5000 0.5000
Mg1 0.1479 0.1479 0.1479
Mg2 0.8521 0.8521 0.8521
Fe1 0.3515 0.3515 0.3515
Fe2 0.6485 0.6485 0.6485
S1 0.0400 0.4514 0.7555
S2 0.2445 0.9600 0.5486
S3 0.4514 0.7555 0.0400
S4 0.5486 0.2445 0.9600
S5 0.7555 0.0400 0.4514
S6 0.9600 0.5486 0.2445
O1 0.0066 0.6083 0.7938
O2 0.0696 0.2720 0.9131
O3 0.0869 0.9304 0.7280
O4 0.1238 0.5178 0.2766
O5 0.2062 0.9934 0.3917
O6 0.2138 0.4365 0.5815
O7 0.2720 0.9131 0.0696
O8 0.2766 0.1238 0.5178
O9 0.3917 0.2062 0.9934
O10 0.4185 0.7862 0.5635
O11 0.4365 0.5815 0.2138
O12 0.4822 0.7234 0.8762
O13 0.5178 0.2766 0.1238
O14 0.5635 0.4185 0.7862
O15 0.5815 0.2138 0.4365
O16 0.6083 0.7938 0.0066
O17 0.7234 0.8762 0.4822
O18 0.7280 0.0869 0.9304
O19 0.7862 0.5635 0.4185
O20 0.7938 0.0066 0.6083
O21 0.8762 0.4822 0.7234
O22 0.9131 0.0696 0.2720
O23 0.9304 0.7280 0.0869
O24 0.9934 0.3917 0.2062

Most intense lines, 2θ = 10–90°, sorted by position:
2θ = 19.8°, intensity 9
2θ = 20.6°, intensity 12
2θ = 23.9°, intensity 100
2θ = 28.8°, intensity 12
2θ = 31.8°, intensity 35
2θ = 32.0°, intensity 11
2θ = 36.1°, intensity 13
2θ = 48.8°, intensity 17
2θ = 56.5°, intensity 10
2θ = 62.2°, intensity 9